Computed powder XRD pattern
Compound: Na5Tc2O6
Radiation: Cu Kα, 1.54184 Å
Structure: a PBE-relaxed structure
Intensities are scaled so that the largest is 100.

Peak list (8 most intense, 15° ≤ 2θ ≤ 90°, most intense first)
d_spacing, I_rel
5.185, 100
4.907, 78
4.843, 66
2.761, 57
2.608, 53
2.802, 39
2.155, 37
3.983, 34

Cell and atoms:
Cell: 5.9234 5.9234 12.5641 Å, 96.19 96.19 68.90°
Atoms (fractional coordinates):
Na  0.0928  0.9072  0.7500
Na  0.1934  0.7045  0.0307
Na  0.2955  0.8066  0.4693
Na  0.3057  0.3741  0.2958
Na  0.3741  0.3057  0.7958
Na  0.6259  0.6943  0.2042
Na  0.6943  0.6259  0.7042
Na  0.7045  0.1934  0.5307
Na  0.8066  0.2955  0.9693
Na  0.9072  0.0928  0.2500
Tc  0.1563  0.3772  0.5659
Tc  0.3772  0.1563  0.0659
Tc  0.6228  0.8437  0.9341
Tc  0.8437  0.6228  0.4341
O  0.0304  0.2698  0.6719
O  0.1489  0.2280  0.4292
O  0.2280  0.1489  0.9292
O  0.2698  0.0304  0.1719
O  0.3791  0.5270  0.6197
O  0.4730  0.6209  0.8803
O  0.5270  0.3791  0.1197
O  0.6209  0.4730  0.3803
O  0.7302  0.9696  0.8281
O  0.7720  0.8511  0.0708
O  0.8511  0.7720  0.5708
O  0.9696  0.7302  0.3281

---

Computed powder XRD pattern
Compound: Na2TiTcO6
Radiation: Cu Kα, 1.54184 Å
Structure: a PBE-relaxed structure
Intensities are scaled so that the largest is 100.

Peak list (8 most intense, 15° ≤ 2θ ≤ 90°, most intense first)
d_spacing, I_rel
2.738, 100
3.878, 58
1.939, 36
3.861, 29
1.582, 25
5.485, 21
1.734, 20
1.368, 19

Cell and atoms:
Cell: 5.4850 5.4850 3.8613 Å, 90.00 90.00 90.00°
Atoms (fractional coordinates):
Na  0.0000  0.5000  0.0000
Na  0.5000  0.0000  0.0000
Ti  0.0000  0.0000  0.5000
Tc  0.5000  0.5000  0.5000
O  0.0000  0.0000  0.0000
O  0.2546  0.2546  0.5000
O  0.2546  0.7454  0.5000
O  0.5000  0.5000  0.0000
O  0.7454  0.2546  0.5000
O  0.7454  0.7454  0.5000

---

Computed powder XRD pattern
Compound: NaTl2TcO4
Radiation: Cu Kα, 1.54184 Å
Structure: a PBE-relaxed structure
Intensities are scaled so that the largest is 100.

Peak list (8 most intense, 15° ≤ 2θ ≤ 90°, most intense first)
d_spacing, I_rel
4.170, 100
2.946, 74
2.887, 48
2.684, 42
1.778, 20
2.230, 19
2.083, 16
2.535, 15

Cell and atoms:
Cell: 11.5522 10.3853 6.6163 Å, 82.40 63.01 34.59°
Atoms (fractional coordinates):
Na  0.1250  0.1250  0.1250
Na  0.8750  0.8750  0.8750
Tl  0.0581  0.0581  0.6919
Tl  0.3081  0.3081  0.9419
Tl  0.6919  0.6919  0.0581
Tl  0.9419  0.9419  0.3081
Tc  0.3750  0.3750  0.3750
Tc  0.6250  0.6250  0.6250
O  0.0435  0.6311  0.5076
O  0.3178  0.5076  0.6311
O  0.3689  0.9565  0.6822
O  0.4924  0.6822  0.9565
O  0.5076  0.3178  0.0435
O  0.6311  0.0435  0.3178
O  0.6822  0.4924  0.3689
O  0.9565  0.3689  0.4924